# 1
Starting from the PBE geometry in Alexandria, the powder XRD pattern of Pm5Sm2Cd was calculated for Cu Kα (weighted mean of Kα1 and Kα2).
Intensities are scaled so that the largest is 100.

a b c (Å): 5.1821 17.6780 6.3256
angles (deg): 90.00 114.14 90.00
Space group P2_1/m (No. 11)
Inequivalent atoms, fractional coordinates:
Pm1 0.0348 0.2500 0.0721 x2
Pm2 0.2559 0.6517 0.5116 x4
Pm3 0.4479 0.0946 0.8967 x4
Sm1 0.1480 0.0387 0.2951 x4
Cd1 0.3194 0.2500 0.6390 x2

Main lines, in order of rising 2θ (10 to 90 degrees two-theta):
hkl	two_theta	I (rel.)
1 4 0	27.6	52
1 1 -2	29.3	58
1 2 1	30.7	72
1 5 -1	31.6	100
0 2 2	32.7	35
0 6 1	34.2	25
2 0 -1	34.6	91
2 6 0	49.4	18
2 3 1	49.8	24
1 7 -3	56.9	22

---

# 2
Starting from the PBE geometry in Alexandria, the powder XRD pattern of Pm7Se4S4 was calculated for Cu Kα (weighted mean of Kα1 and Kα2).
Intensities are scaled so that the largest is 100.

a b c (Å): 14.5982 14.5982 6.9993
angles (deg): 90.00 90.00 90.00
Space group I4/mmm (No. 139)
Inequivalent atoms, fractional coordinates:
Pm1 0.0000 0.0000 0.2485 x4
Pm2 0.0000 0.2754 0.0000 x8
Pm3 0.0000 0.3813 0.5000 x8
Pm4 0.2038 0.2038 0.5000 x8
Se1 0.0000 0.1750 0.5000 x8
Se2 0.1256 0.1256 0.0000 x8
S1 0.1512 0.3488 0.2500 x16

Main lines, in order of rising 2θ (10 to 90 degrees two-theta):
hkl	two_theta	I (rel.)
0 0 2	25.4	54
3 3 0	25.9	15
4 1 1	28.3	12
3 1 2	32.1	27
5 0 1	33.2	100
6 0 0	36.9	13
4 2 2	37.7	30
5 0 3	50.0	36
7 4 1	52.2	13
0 0 4	52.3	13